# 1
This entry pairs a crystal structure of Nb3InS4 with its simulated powder diffraction line list. Radiation: Cu Kα (λ = 1.5418 Å). Structure: a GGA-PBE-relaxed structure.

Principal peaks in the range 2θ from 10° to 90°, in order of falling intensity:
(1 2 1), 36.8 deg, I 100; (2 1 0), 30.7 deg, I 90; (2 2 1), 45.6 deg, I 71; (1 0 1), 22.9 deg, I 70; (1 3 0), 42.4 deg, I 53; (2 0 0), 23.1 deg, I 52; (1 0 2), 41.9 deg, I 49; (1 1 0), 20.0 deg, I 38; (1 2 2), 51.4 deg, I 35; (4 1 0), 54.7 deg, I 25

```
data_Nb3InS4
_space_group_name_H-M_alt 'P 1'
_space_group_IT_number 1
_cell_length_a 8.8841
_cell_length_b 8.8841
_cell_length_c 4.4872
_cell_angle_alpha 90.00
_cell_angle_beta 90.00
_cell_angle_gamma 120.00
loop_
_space_group_symop_operation_xyz
'x,y,z'
loop_
_atom_site_label
_atom_site_fract_x
_atom_site_fract_y
_atom_site_fract_z
Nb1 0.1364 0.6471 0.2500
Nb2 0.3529 0.4892 0.2500
Nb3 0.4892 0.1364 0.7500
Nb4 0.5108 0.8636 0.2500
Nb5 0.6471 0.5108 0.7500
Nb6 0.8636 0.3529 0.7500
In1 0.0000 0.0000 0.0000
In2 0.0000 0.0000 0.5000
S1 0.0162 0.3299 0.2500
S2 0.3137 0.9838 0.2500
S3 0.3299 0.3137 0.7500
S4 0.3333 0.6667 0.7500
S5 0.6667 0.3333 0.2500
S6 0.6701 0.6863 0.2500
S7 0.6863 0.0162 0.7500
S8 0.9838 0.6701 0.7500
```

=====

# 2
This entry pairs a crystal structure of Nb3InS5 with its simulated powder diffraction line list. Radiation: Cu Kα (λ = 1.5418 Å). Structure: a GGA-PBE-relaxed structure.

Principal peaks in the range 2θ from 10° to 90°, in order of falling intensity:
(2 0 2), 44.5 deg, I 100; (1 0 1), 21.8 deg, I 80; (0 0 1), 12.2 deg, I 68; (2 0 0), 36.6 deg, I 49; (1 1 1), 33.9 deg, I 32; (0 0 2), 24.6 deg, I 31; (2 0 1), 38.7 deg, I 26; (1 1 0), 31.5 deg, I 19; (2 2 0), 65.8 deg, I 19; (2 0 4), 63.8 deg, I 19

```
data_Nb3InS5
_space_group_name_H-M_alt 'P 1'
_space_group_IT_number 1
_cell_length_a 5.6754
_cell_length_b 5.6754
_cell_length_c 7.2508
_cell_angle_alpha 90.00
_cell_angle_beta 90.00
_cell_angle_gamma 120.00
loop_
_space_group_symop_operation_xyz
'x,y,z'
loop_
_atom_site_label
_atom_site_fract_x
_atom_site_fract_y
_atom_site_fract_z
Nb1 0.0000 0.5000 0.0000
Nb2 0.5000 0.0000 0.0000
Nb3 0.5000 0.5000 0.0000
In1 0.0000 0.0000 0.5000
S1 0.0000 0.0000 0.0000
S2 0.3333 0.6667 0.2630
S3 0.3333 0.6667 0.7370
S4 0.6667 0.3333 0.2630
S5 0.6667 0.3333 0.7370
```

=====

# 3
This entry pairs a crystal structure of Nb3InSi5 with its simulated powder diffraction line list. Radiation: Cu Kα (λ = 1.5418 Å). Structure: a GGA-PBE-relaxed structure.

Principal peaks in the range 2θ from 10° to 90°, in order of falling intensity:
(2 0 2), 46.7 deg, I 100; (1 0 1), 22.8 deg, I 78; (2 0 0), 36.8 deg, I 64; (1 1 1), 34.7 deg, I 58; (0 0 2), 27.7 deg, I 42; (0 0 1), 13.7 deg, I 40; (2 0 1), 39.5 deg, I 37; (1 0 3), 46.2 deg, I 27; (2 0 4), 70.0 deg, I 26; (2 2 0), 66.3 deg, I 23

```
data_Nb3InSi5
_space_group_name_H-M_alt 'P 1'
_space_group_IT_number 1
_cell_length_a 5.6400
_cell_length_b 5.6400
_cell_length_c 6.4437
_cell_angle_alpha 90.00
_cell_angle_beta 90.00
_cell_angle_gamma 120.00
loop_
_space_group_symop_operation_xyz
'x,y,z'
loop_
_atom_site_label
_atom_site_fract_x
_atom_site_fract_y
_atom_site_fract_z
Nb1 0.0000 0.5000 0.0000
Nb2 0.5000 0.0000 0.0000
Nb3 0.5000 0.5000 0.0000
In1 0.0000 0.0000 0.5000
Si1 0.0000 0.0000 0.0000
Si2 0.3333 0.6667 0.3192
Si3 0.3333 0.6667 0.6808
Si4 0.6667 0.3333 0.3192
Si5 0.6667 0.3333 0.6808
```